Diffraction record for K2CoO2. The powder X-ray diffraction pattern is theoretical, not measured: it uses a cell relaxed with PBE+U and copper Kα.

Atomic structure:
a = 6.3408 Å, b = 5.1994 Å, c = 12.4540 Å
α = 90.00°, β = 90.00°, γ = 90.00°
Fractional coordinates of all 20 atoms:
K 0.0657 0.2500 0.1590
K 0.1833 0.2500 0.5439
K 0.3167 0.7500 0.0439
K 0.4343 0.7500 0.6590
K 0.5657 0.2500 0.3410
K 0.6833 0.2500 0.9561
K 0.8167 0.7500 0.4561
K 0.9343 0.7500 0.8410
Co 0.2401 0.2500 0.8307
Co 0.2599 0.7500 0.3307
Co 0.7401 0.2500 0.6693
Co 0.7599 0.7500 0.1693
O 0.0539 0.7500 0.2273
O 0.2484 0.2500 0.9738
O 0.2516 0.7500 0.4738
O 0.4461 0.2500 0.7273
O 0.5539 0.7500 0.2727
O 0.7484 0.2500 0.5262
O 0.7516 0.7500 0.0262
O 0.9461 0.2500 0.7727

The 12 most intense peaks (10 to 90 degrees two-theta), low angle first:
two_theta  I_rel
18.49  65
25.65  39
26.39  26
28.15  18
30.96  100
32.02  25
33.09  19
33.89  58
34.50  78
43.47  20
58.17  18
62.47  21